Structure and theoretical powder XRD pattern of Ga2Cu3Au (a structure optimized by DFT (PBE); Cu Kα).
No peak broadening, texture or thermal motion is included.

Crystal structure
```
24
Lattice="8.541 0.000 0.000 0.000 2.771 0.000 0.000 0.000 15.403" Properties=species:S:1:pos:R:3 pbc="T T T"
Ga 0.700 0.693 3.307
Ga 2.136 0.693 15.144
Ga 2.135 2.078 7.442
Ga 3.570 2.078 11.008
Ga 4.971 0.693 4.394
Ga 6.406 0.693 7.960
Ga 6.405 2.078 0.259
Ga 7.841 2.078 12.096
Cu 0.287 2.078 1.067
Cu 0.897 0.693 5.775
Cu 1.513 0.693 12.424
Cu 2.758 2.078 4.722
Cu 3.374 2.078 13.477
Cu 3.984 0.693 8.768
Cu 4.557 2.078 6.634
Cu 5.167 0.693 1.926
Cu 5.783 0.693 10.680
Cu 7.028 2.078 2.979
Cu 7.644 2.078 9.627
Cu 8.254 0.693 14.336
Au 1.380 0.693 9.704
Au 2.891 2.078 2.003
Au 5.650 0.693 13.400
Au 7.161 2.078 5.699
```

Most intense lines, 10° ≤ 2θ ≤ 80°, by angle:
d = 5.720 Å, 15.49°, I = 72.1
d = 2.800 Å, 31.97°, I = 49.7
d = 2.345 Å, 38.39°, I = 40.9
d = 2.324 Å, 38.74°, I = 100.0
d = 2.131 Å, 42.41°, I = 57.4
d = 2.115 Å, 42.75°, I = 55.7
d = 2.003 Å, 45.28°, I = 98.2
d = 1.990 Å, 45.59°, I = 41.2